No. 1
Starting from a crystal structure in Alexandria, relaxed with PBE, the X-ray powder pattern of NpTl3I2O6 was simulated for Cu Kα, 1.54184 Å.
Peak positions follow from Bragg's law for the DFT cell and can differ from measured ones.

Largest 12 diffraction maxima, most intense first, 10 to 80 degrees two-theta:
- 21.51°, I = 100
- 22.55°, I = 49
- 35.35°, I = 37
- 34.02°, I = 36
- 31.05°, I = 35
- 55.35°, I = 32
- 43.82°, I = 26
- 44.62°, I = 25
- 30.15°, I = 24
- 32.00°, I = 21
- 27.41°, I = 18
- 38.71°, I = 17

Atomic structure:
```
data_NpTl3I2O6
_space_group_name_H-M_alt 'P 1'
_space_group_IT_number 1
_cell_length_a 8.510
_cell_length_b 8.510
_cell_length_c 5.761
_cell_angle_alpha 90.00
_cell_angle_beta 90.00
_cell_angle_gamma 135.84
loop_
_space_group_symop_operation_xyz
'x,y,z'
loop_
_atom_site_label
_atom_site_type_symbol
_atom_site_fract_x
_atom_site_fract_y
_atom_site_fract_z
Np1 Np 0.000 0.000 0.000
Tl1 Tl 0.000 0.500 0.000
Tl2 Tl 0.500 0.000 0.000
Tl3 Tl 0.500 0.500 0.500
I1 I 0.319 0.681 0.500
I2 I 0.681 0.319 0.500
O1 O 0.146 0.854 0.000
O2 O 0.219 0.219 0.230
O3 O 0.219 0.219 0.770
O4 O 0.781 0.781 0.230
O5 O 0.781 0.781 0.770
O6 O 0.854 0.146 0.000
```

No. 2
Starting from a crystal structure in Alexandria, relaxed with PBE, the X-ray powder pattern of CsNb4Cl11 was simulated for Cu Kα, 1.54184 Å.
Peak positions follow from Bragg's law for the DFT cell and can differ from measured ones.

Largest 12 diffraction maxima, most intense first, 10 to 80 degrees two-theta:
- 35.86°, I = 100
- 12.16°, I = 84
- 16.33°, I = 66
- 17.51°, I = 61
- 45.37°, I = 46
- 33.00°, I = 39
- 27.56°, I = 31
- 18.34°, I = 29
- 39.65°, I = 28
- 12.55°, I = 23
- 51.40°, I = 20
- 25.24°, I = 20

Atomic structure:
```
data_CsNb4Cl11
_space_group_name_H-M_alt 'P 1'
_space_group_IT_number 1
_cell_length_a 16.302
_cell_length_b 7.054
_cell_length_c 7.278
_cell_angle_alpha 90.00
_cell_angle_beta 90.00
_cell_angle_gamma 90.00
loop_
_space_group_symop_operation_xyz
'x,y,z'
loop_
_atom_site_label
_atom_site_type_symbol
_atom_site_fract_x
_atom_site_fract_y
_atom_site_fract_z
Cs1 Cs 0.250 0.000 0.027
Cs2 Cs 0.750 0.000 0.973
Nb1 Nb 0.000 0.286 0.500
Nb2 Nb 0.000 0.714 0.500
Nb3 Nb 0.141 0.500 0.616
Nb4 Nb 0.359 0.500 0.616
Nb5 Nb 0.500 0.286 0.500
Nb6 Nb 0.500 0.714 0.500
Nb7 Nb 0.641 0.500 0.384
Nb8 Nb 0.859 0.500 0.384
Cl1 Cl 0.077 0.250 0.797
Cl2 Cl 0.077 0.750 0.797
Cl3 Cl 0.083 0.000 0.373
Cl4 Cl 0.086 0.500 0.302
Cl5 Cl 0.250 0.270 0.488
Cl6 Cl 0.250 0.500 0.883
Cl7 Cl 0.250 0.730 0.488
Cl8 Cl 0.414 0.500 0.302
Cl9 Cl 0.417 0.000 0.373
Cl10 Cl 0.423 0.250 0.797
Cl11 Cl 0.423 0.750 0.797
Cl12 Cl 0.577 0.250 0.203
Cl13 Cl 0.577 0.750 0.203
Cl14 Cl 0.583 0.000 0.627
Cl15 Cl 0.586 0.500 0.698
Cl16 Cl 0.750 0.270 0.512
Cl17 Cl 0.750 0.500 0.117
Cl18 Cl 0.750 0.730 0.512
Cl19 Cl 0.914 0.500 0.698
Cl20 Cl 0.917 0.000 0.627
Cl21 Cl 0.923 0.250 0.203
Cl22 Cl 0.923 0.750 0.203
```